Theoretical XRD peak list of DyS2 for CuKα, from a DFT-relaxed cell (GGA-PBE, Alexandria).
Intensities are scaled so that the largest is 1000.

Structure:
```
data_DyS2
_symmetry_space_group_name_H-M 'P 1'
_symmetry_Int_Tables_number 1
_symmetry_space_group_name_Hall 'P 1'
_cell_length_a 6.976
_cell_length_b 7.423
_cell_length_c 5.060
_cell_angle_alpha 90.00
_cell_angle_beta 90.00
_cell_angle_gamma 90.00
loop_
_atom_site_label
_atom_site_fract_x
_atom_site_fract_y
_atom_site_fract_z
Dy1 0.245 0.049 0.250
Dy2 0.245 0.451 0.750
Dy3 0.755 0.549 0.250
Dy4 0.755 0.951 0.750
S1 0.107 0.105 0.750
S2 0.107 0.395 0.250
S3 0.439 0.750 0.000
S4 0.439 0.750 0.500
S5 0.561 0.250 0.000
S6 0.561 0.250 0.500
S7 0.893 0.605 0.750
S8 0.893 0.895 0.250
```

Main lines, in order of rising 2θ (2θ from 10° to 80°):
17.44 deg, I 151, (1 1 0); 23.98 deg, I 161, (0 2 0); 24.83 deg, I 1000, (1 1 1); 25.54 deg, I 205, (2 0 0); 35.31 deg, I 255, (2 2 0); 38.61 deg, I 217, (1 3 0); 39.68 deg, I 159, (2 2 1); 43.28 deg, I 181, (0 2 2); 44.22 deg, I 182, (2 0 2); 44.58 deg, I 350, (3 1 1)

=====

Theoretical XRD peak list of Th2B10Ir for CuKα, from a DFT-relaxed cell (GGA-PBE, Alexandria).
Intensities are scaled so that the largest is 1000.

Structure:
```
data_Th2B10Ir
_symmetry_space_group_name_H-M 'P 1'
_symmetry_Int_Tables_number 1
_symmetry_space_group_name_Hall 'P 1'
_cell_length_a 5.736
_cell_length_b 11.466
_cell_length_c 4.211
_cell_angle_alpha 90.00
_cell_angle_beta 90.00
_cell_angle_gamma 90.00
loop_
_atom_site_label
_atom_site_fract_x
_atom_site_fract_y
_atom_site_fract_z
Th1 0.204 0.136 0.000
Th2 0.296 0.636 0.000
Th3 0.704 0.364 0.000
Th4 0.796 0.864 0.000
B1 0.054 0.307 0.500
B2 0.118 0.957 0.500
B3 0.137 0.803 0.500
B4 0.217 0.381 0.198
B5 0.217 0.381 0.802
B6 0.283 0.881 0.198
B7 0.283 0.881 0.802
B8 0.363 0.303 0.500
B9 0.382 0.457 0.500
B10 0.446 0.807 0.500
B11 0.554 0.193 0.500
B12 0.618 0.543 0.500
B13 0.637 0.697 0.500
B14 0.717 0.119 0.198
B15 0.717 0.119 0.802
B16 0.783 0.619 0.198
B17 0.783 0.619 0.802
B18 0.863 0.197 0.500
B19 0.882 0.043 0.500
B20 0.946 0.693 0.500
Ir1 0.000 0.500 0.500
Ir2 0.500 0.000 0.500
```

Main lines, in order of rising 2θ (2θ from 10° to 80°):
21.92 deg, I 704, (1 2 0); 26.26 deg, I 190, (0 2 1); 27.40 deg, I 420, (1 1 1); 28.05 deg, I 224, (1 3 0); 30.61 deg, I 869, (1 2 1); 37.97 deg, I 1000, (0 4 1); 42.95 deg, I 204, (0 0 2); 44.70 deg, I 282, (2 4 0); 48.73 deg, I 247, (1 2 2); 55.15 deg, I 187, (1 6 1)

=====

Theoretical XRD peak list of In4Se3 for CuKα, from a DFT-relaxed cell (GGA-PBE, Alexandria).
Intensities are scaled so that the largest is 1000.

Structure:
```
data_In4Se3
_symmetry_space_group_name_H-M 'P 1'
_symmetry_Int_Tables_number 1
_symmetry_space_group_name_Hall 'P 1'
_cell_length_a 12.554
_cell_length_b 15.548
_cell_length_c 4.175
_cell_angle_alpha 90.00
_cell_angle_beta 90.00
_cell_angle_gamma 90.00
loop_
_atom_site_label
_atom_site_fract_x
_atom_site_fract_y
_atom_site_fract_z
In1 0.023 0.186 0.000
In2 0.107 0.424 0.000
In3 0.144 0.033 0.000
In4 0.163 0.709 0.000
In5 0.337 0.209 0.500
In6 0.356 0.533 0.500
In7 0.393 0.924 0.500
In8 0.477 0.686 0.500
In9 0.523 0.314 0.500
In10 0.607 0.076 0.500
In11 0.644 0.467 0.500
In12 0.663 0.791 0.500
In13 0.837 0.291 0.000
In14 0.856 0.967 0.000
In15 0.893 0.576 0.000
In16 0.977 0.814 0.000
Se1 0.137 0.270 0.500
Se2 0.152 0.596 0.500
Se3 0.155 0.925 0.500
Se4 0.345 0.425 0.000
Se5 0.348 0.096 0.000
Se6 0.363 0.770 0.000
Se7 0.637 0.230 0.000
Se8 0.652 0.904 0.000
Se9 0.655 0.575 0.000
Se10 0.845 0.075 0.500
Se11 0.848 0.404 0.500
Se12 0.863 0.730 0.500
```

Main lines, in order of rising 2θ (2θ from 10° to 80°):
22.44 deg, I 194, (1 0 1); 27.39 deg, I 305, (3 3 0); 28.37 deg, I 1000, (4 0 0); 30.98 deg, I 104, (2 3 1); 34.62 deg, I 122, (0 6 0); 34.95 deg, I 129, (3 3 1); 43.35 deg, I 219, (0 0 2); 43.59 deg, I 260, (2 6 1); 45.65 deg, I 269, (5 3 1); 52.04 deg, I 101, (3 3 2)